Entry 1:
Computed X-ray diffraction stick pattern of Ce2Ge4Mo3 for Cu Kα, from a GGA-PBE-relaxed structure.
Intensities are scaled so that the largest is 100.

Peak list (10 most intense, 2θ from 10° to 90°, in order of rising 2θ)
- 33.5 deg, I = 34, (2 1 -2)
- 33.6 deg, I = 28, (1 2 1)
- 36.1 deg, I = 100, (2 2 -1)
- 36.4 deg, I = 84, (1 1 2)
- 40.4 deg, I = 55, (1 1 -3)
- 40.5 deg, I = 59, (0 3 1)
- 40.7 deg, I = 23, (3 0 0)
- 55.1 deg, I = 18, (1 3 -3)
- 58.4 deg, I = 25, (3 1 -4)
- 62.5 deg, I = 19, (3 3 1)

Crystal structure
```
data_Ce2Ge4Mo3
_chemical_formula_sum 'Ce4 Ge8 Mo6'
_symmetry_space_group_name_H-M 'P 1 21/c 1'
_symmetry_Int_Tables_number 14
_symmetry_space_group_name_Hall '-P 2ybc'
_cell_length_a 7.0705
_cell_length_b 7.0914
_cell_length_c 7.0555
_cell_angle_alpha 90.00
_cell_angle_beta 110.00
_cell_angle_gamma 90.00
loop_
_atom_site_label
_atom_site_fract_x
_atom_site_fract_y
_atom_site_fract_z
Ce1 0.1884 0.1669 0.0541
Ge1 0.0965 0.5505 0.8658
Ge2 0.4923 0.6402 0.6353
Mo1 0.2491 0.6548 0.2533
Mo2 0.5000 0.0000 0.5000
```

Entry 2:
Computed X-ray diffraction stick pattern of Pr2Be3Ge4Au for Cu Kα, from a GGA-PBE-relaxed structure.
Intensities are scaled so that the largest is 100.

Peak list (10 most intense, 2θ from 10° to 90°, in order of rising 2θ)
- 21.1 deg, I = 14, (1 0 0)
- 22.9 deg, I = 37, (1 0 1)
- 27.7 deg, I = 24, (1 0 2)
- 34.3 deg, I = 35, (1 0 3)
- 35.0 deg, I = 100, (1 1 2)
- 42.9 deg, I = 39, (2 0 0)
- 50.6 deg, I = 17, (1 0 5)
- 56.0 deg, I = 17, (2 1 3)
- 68.4 deg, I = 14, (2 1 5)
- 73.5 deg, I = 23, (3 1 2)

Crystal structure
```
data_Pr2Be3Ge4Au
_chemical_formula_sum 'Pr2 Be3 Ge4 Au1'
_symmetry_space_group_name_H-M 'P -4 m 2'
_symmetry_Int_Tables_number 115
_symmetry_space_group_name_Hall 'P -4 -2'
_cell_length_a 4.2193
_cell_length_b 4.2193
_cell_length_c 9.9848
_cell_angle_alpha 90.00
_cell_angle_beta 90.00
_cell_angle_gamma 90.00
loop_
_atom_site_label
_atom_site_fract_x
_atom_site_fract_y
_atom_site_fract_z
Pr1 0.0000 0.5000 0.2424
Be1 0.0000 0.5000 0.8794
Be2 0.5000 0.5000 0.5000
Ge1 0.0000 0.0000 0.0000
Ge2 0.0000 0.5000 0.6490
Ge3 0.5000 0.5000 0.0000
Au1 0.0000 0.0000 0.5000
```

Entry 3:
Computed X-ray diffraction stick pattern of AlPtPb2 for Cu Kα, from a GGA-PBE-relaxed structure.
Intensities are scaled so that the largest is 100.

Peak list (10 most intense, 2θ from 10° to 90°, in order of rising 2θ)
- 28.4 deg, I = 58, (0 1 1)
- 28.9 deg, I = 55, (1 0 1)
- 32.3 deg, I = 50, (0 0 3)
- 34.1 deg, I = 76, (0 1 2)
- 34.5 deg, I = 73, (1 0 2)
- 37.9 deg, I = 100, (1 1 0)
- 50.6 deg, I = 58, (1 1 3)
- 55.2 deg, I = 26, (2 0 0)
- 65.7 deg, I = 23, (1 2 2)
- 66.5 deg, I = 23, (2 1 2)

Crystal structure
```
data_AlPtPb2
_chemical_formula_sum 'Al1 Pt1 Pb2'
_symmetry_space_group_name_H-M 'P m m 2'
_symmetry_Int_Tables_number 25
_symmetry_space_group_name_Hall 'P 2 -2'
_cell_length_a 3.3257
_cell_length_b 3.3925
_cell_length_c 8.3257
_cell_angle_alpha 90.00
_cell_angle_beta 90.00
_cell_angle_gamma 90.00
loop_
_atom_site_label
_atom_site_fract_x
_atom_site_fract_y
_atom_site_fract_z
Al1 0.0000 0.0000 0.0000
Pt1 0.5000 0.5000 0.8843
Pb1 0.0000 0.0000 0.6268
Pb2 0.5000 0.5000 0.2639
```

Entry 4:
Computed X-ray diffraction stick pattern of BPH3 for Cu Kα, from a GGA-PBE-relaxed structure.
Intensities are scaled so that the largest is 100.

Peak list (10 most intense, 2θ from 10° to 90°, in order of rising 2θ)
- 11.9 deg, I = 64, (0 0 1)
- 14.8 deg, I = 22, (0 1 0)
- 18.6 deg, I = 100, (0 1 -1)
- 19.4 deg, I = 66, (0 1 1)
- 23.9 deg, I = 58, (0 0 2)
- 27.7 deg, I = 20, (0 1 -2)
- 35.4 deg, I = 11, (1 1 0)
- 36.2 deg, I = 11, (1 1 -1)
- 38.7 deg, I = 28, (0 1 -3)
- 39.8 deg, I = 11, (1 -2 1)

Crystal structure
```
data_BPH3
_chemical_formula_sum 'B2 P2 H6'
_symmetry_space_group_name_H-M 'P 1'
_symmetry_Int_Tables_number 1
_symmetry_space_group_name_Hall 'P 1'
_cell_length_a 3.1684
_cell_length_b 6.1105
_cell_length_c 7.4883
_cell_angle_alpha 91.23
_cell_angle_beta 95.45
_cell_angle_gamma 101.82
loop_
_atom_site_label
_atom_site_fract_x
_atom_site_fract_y
_atom_site_fract_z
B1 0.0000 0.0000 0.0000
B2 0.4462 0.8142 0.0873
P1 0.1446 0.2862 0.5068
P2 0.7486 0.5100 0.5764
H1 0.1762 0.8376 0.9515
H2 0.2175 0.1747 0.0612
H3 0.3392 0.8033 0.2369
H4 0.4982 0.6396 0.0259
H5 0.7726 0.9766 0.1357
H6 0.8347 0.0108 0.8504
```

Entry 5:
Computed X-ray diffraction stick pattern of Ac3ZrN4 for Cu Kα, from a GGA-PBE-relaxed structure.
Intensities are scaled so that the largest is 100.

Peak list (10 most intense, 2θ from 10° to 90°, in order of rising 2θ)
- 25.2 deg, I = 26, (2 1 0)
- 28.9 deg, I = 41, (0 2 1)
- 29.2 deg, I = 100, (0 0 2)
- 39.0 deg, I = 15, (2 1 2)
- 44.0 deg, I = 20, (2 3 0)
- 51.7 deg, I = 12, (0 2 3)
- 51.9 deg, I = 18, (2 1 3)
- 53.7 deg, I = 21, (2 3 2)
- 54.1 deg, I = 15, (4 2 1)
- 54.3 deg, I = 11, (4 0 2)

Crystal structure
```
data_Ac3ZrN4
_chemical_formula_sum 'Ac6 Zr2 N8'
_symmetry_space_group_name_H-M 'P m n 21'
_symmetry_Int_Tables_number 31
_symmetry_space_group_name_Hall 'P 2ac -2'
_cell_length_a 8.1188
_cell_length_b 7.1664
_cell_length_c 6.0992
_cell_angle_alpha 90.00
_cell_angle_beta 90.00
_cell_angle_gamma 90.00
loop_
_atom_site_label
_atom_site_fract_x
_atom_site_fract_y
_atom_site_fract_z
Ac1 0.0000 0.1468 0.0000
Ac2 0.2502 0.3343 0.5013
Zr1 0.0000 0.8274 0.4939
N1 0.0000 0.1193 0.5701
N2 0.0000 0.8255 0.1529
N3 0.2242 0.6864 0.5747
```

Entry 6:
Computed X-ray diffraction stick pattern of CdH12C2S2N8Cl2 for Cu Kα, from a GGA-PBE-relaxed structure.
Intensities are scaled so that the largest is 100.

Peak list (10 most intense, 2θ from 10° to 90°, in order of rising 2θ)
- 11.8 deg, I = 34, (1 0 0)
- 13.3 deg, I = 34, (1 0 -2)
- 14.9 deg, I = 50, (0 0 2)
- 16.3 deg, I = 100, (0 1 1)
- 17.7 deg, I = 32, (1 1 -1)
- 24.0 deg, I = 77, (1 1 -3)
- 25.8 deg, I = 20, (1 0 -4)
- 27.9 deg, I = 25, (2 1 0)
- 32.1 deg, I = 20, (2 1 1)
- 45.7 deg, I = 20, (2 2 2)

Crystal structure
```
data_CdH12C2S2N8Cl2
_chemical_formula_sum 'Cd2 H24 C4 S4 N16 Cl4'
_symmetry_space_group_name_H-M 'P 1 21/c 1'
_symmetry_Int_Tables_number 14
_symmetry_space_group_name_Hall '-P 2ybc'
_cell_length_a 8.7759
_cell_length_b 6.1151
_cell_length_c 13.9571
_cell_angle_alpha 90.00
_cell_angle_beta 121.37
_cell_angle_gamma 90.00
loop_
_atom_site_label
_atom_site_fract_x
_atom_site_fract_y
_atom_site_fract_z
Cd1 0.0000 0.0000 0.0000
H1 0.0763 0.0962 0.4186
H2 0.1189 0.2043 0.8555
H3 0.2144 0.6886 0.8545
H4 0.3030 0.5594 0.7894
H5 0.3309 0.5346 0.2913
H6 0.3858 0.0974 0.5031
C1 0.4151 0.1144 0.0843
S1 0.3309 0.6253 0.6008
N1 0.1357 0.2484 0.4317
N2 0.3183 0.2260 0.5114
N3 0.3320 0.6536 0.8581
N4 0.4078 0.6476 0.3522
Cl1 0.0896 0.2000 0.6767
```

Entry 7:
Computed X-ray diffraction stick pattern of SbI2Br6 for Cu Kα, from a GGA-PBE-relaxed structure.
Intensities are scaled so that the largest is 100.

Peak list (10 most intense, 2θ from 10° to 90°, in order of rising 2θ)
- 14.0 deg, I = 54, (1 1 -1)
- 17.5 deg, I = 100, (3 1 0)
- 19.7 deg, I = 41, (3 1 -1)
- 21.8 deg, I = 32, (2 2 1)
- 22.0 deg, I = 70, (4 0 0)
- 25.6 deg, I = 77, (2 0 -2)
- 29.5 deg, I = 83, (2 0 2)
- 30.4 deg, I = 40, (4 0 -2)
- 36.0 deg, I = 32, (0 6 0)
- 49.9 deg, I = 33, (7 5 0)

Crystal structure
```
data_SbI2Br6
_chemical_formula_sum 'Sb4 I8 Br24'
_symmetry_space_group_name_H-M 'C 1 2/c 1'
_symmetry_Int_Tables_number 15
_symmetry_space_group_name_Hall '-C 2yc'
_cell_length_a 16.4241
_cell_length_b 14.9838
_cell_length_c 7.1701
_cell_angle_alpha 90.00
_cell_angle_beta 100.91
_cell_angle_gamma 90.00
loop_
_atom_site_label
_atom_site_fract_x
_atom_site_fract_y
_atom_site_fract_z
Sb1 0.0000 0.2225 0.2500
I1 0.1402 0.4091 0.5990
Br1 0.0838 0.1136 0.0952
Br2 0.1288 0.2251 0.5841
Br3 0.1491 0.4162 0.1047
```

Entry 8:
Computed X-ray diffraction stick pattern of Ti4CuOs3 for Cu Kα, from a GGA-PBE-relaxed structure.
Intensities are scaled so that the largest is 100.

Peak list (10 most intense, 2θ from 10° to 90°, in order of rising 2θ)
- 10.1 deg, I = 9, (0 0 1)
- 28.9 deg, I = 37, (1 0 0)
- 41.3 deg, I = 100, (1 1 2)
- 51.2 deg, I = 11, (1 2 0)
- 59.8 deg, I = 11, (0 2 4)
- 59.9 deg, I = 5, (2 0 0)
- 67.7 deg, I = 10, (1 2 4)
- 67.8 deg, I = 5, (2 1 2)
- 75.3 deg, I = 33, (2 2 0)
- 89.7 deg, I = 7, (2 2 4)

Crystal structure
```
data_Ti4CuOs3
_chemical_formula_sum 'Ti4 Cu1 Os3'
_symmetry_space_group_name_H-M 'P m m m'
_symmetry_Int_Tables_number 47
_symmetry_space_group_name_Hall '-P 2 2'
_cell_length_a 3.0892
_cell_length_b 4.3742
_cell_length_c 8.7538
_cell_angle_alpha 90.00
_cell_angle_beta 90.00
_cell_angle_gamma 90.00
loop_
_atom_site_label
_atom_site_fract_x
_atom_site_fract_y
_atom_site_fract_z
Ti1 0.0000 0.0000 0.0000
Ti2 0.0000 0.0000 0.5000
Ti3 0.0000 0.5000 0.2502
Cu1 0.5000 0.5000 0.0000
Os1 0.5000 0.0000 0.2488
Os2 0.5000 0.5000 0.5000
```